(1)
Pa: computed powder XRD pattern (Cu Kα (λ = 1.5418 Å)), based on a PBE-relaxed structure.

Structural model:
```
Pa
1.0
0.000 2.327 2.327
2.327 0.000 2.327
2.327 2.327 0.000
Pa
1
direct
0.000 0.000 0.000 Pa
```

Peak list (6 most intense, 10° ≤ 2θ ≤ 90°, low angle first)
2theta  d_spacing  I_rel
33.34  2.687  100
38.69  2.327  51
55.87  1.646  36
66.64  1.403  43
70.02  1.344  12
82.98  1.164  6


(2)
Ca2HgPb: computed powder XRD pattern (Cu Kα (λ = 1.5418 Å)), based on a PBE-relaxed structure.

Structural model:
```
Ca2HgPb
1.0
0.000 3.872 3.872
3.872 0.000 3.872
3.872 3.872 0.000
Ca Hg Pb
2 1 1
direct
0.250 0.250 0.250 Ca
0.750 0.750 0.750 Ca
0.000 0.000 0.000 Hg
0.500 0.500 0.500 Pb
```

Peak list (10 most intense, 10° ≤ 2θ ≤ 90°, low angle first)
2theta  d_spacing  I_rel
22.97  3.872  50
32.70  2.738  100
40.34  2.236  17
46.93  1.936  18
52.87  1.732  23
58.37  1.581  38
68.54  1.369  12
73.35  1.291  12
78.03  1.225  17
82.64  1.168  7


(3)
B12W: computed powder XRD pattern (Cu Kα (λ = 1.5418 Å)), based on a PBE-relaxed structure.

Structural model:
```
B12W
1.0
0.000 3.668 3.668
3.668 0.000 3.668
3.668 3.668 0.000
B W
12 1
direct
0.000 0.000 0.341 B
0.000 0.000 0.659 B
0.000 0.341 0.000 B
0.000 0.341 0.659 B
0.000 0.659 0.000 B
0.000 0.659 0.341 B
0.341 0.000 0.000 B
0.341 0.000 0.659 B
0.341 0.659 0.000 B
0.659 0.000 0.000 B
0.659 0.000 0.341 B
0.659 0.341 0.000 B
0.500 0.500 0.500 W
```

Peak list (10 most intense, 10° ≤ 2θ ≤ 90°, low angle first)
2theta  d_spacing  I_rel
20.97  4.236  100
24.26  3.668  71
34.58  2.594  44
40.79  2.212  96
42.69  2.118  29
54.52  1.683  33
56.06  1.640  24
61.97  1.498  28
76.88  1.240  30
78.17  1.223  20


(4)
YCr2Si2: computed powder XRD pattern (Cu Kα (λ = 1.5418 Å)), based on a PBE-relaxed structure.

Structural model:
```
YCr2Si2
1.0
-1.927 1.927 5.353
1.927 -1.927 5.353
1.927 1.927 -5.353
Y Cr Si
1 2 2
direct
0.000 0.000 0.000 Y
0.250 0.750 0.500 Cr
0.750 0.250 0.500 Cr
0.384 0.384 0.000 Si
0.616 0.616 0.000 Si
```

Peak list (10 most intense, 10° ≤ 2θ ≤ 90°, low angle first)
2theta  d_spacing  I_rel
24.55  3.626  15
33.48  2.677  16
34.24  2.619  45
37.02  2.429  100
47.16  1.927  37
48.64  1.872  21
59.57  1.552  17
62.18  1.493  15
70.08  1.343  14
80.89  1.188  18


(5)
TbTiO3: computed powder XRD pattern (Cu Kα (λ = 1.5418 Å)), based on a PBE-relaxed structure.

Structural model:
```
TbTiO3
1.0
5.713 0.000 0.000
0.000 7.723 0.000
0.000 0.000 5.366
Tb Ti O
4 4 12
direct
0.070 0.250 0.021 Tb
0.430 0.750 0.521 Tb
0.570 0.250 0.479 Tb
0.930 0.750 0.979 Tb
0.000 0.000 0.500 Ti
0.000 0.500 0.500 Ti
0.500 0.000 0.000 Ti
0.500 0.500 0.000 Ti
0.043 0.750 0.382 O
0.199 0.558 0.808 O
0.199 0.942 0.808 O
0.301 0.058 0.308 O
0.301 0.442 0.308 O
0.457 0.250 0.882 O
0.543 0.750 0.118 O
0.699 0.558 0.692 O
0.699 0.942 0.692 O
0.801 0.058 0.192 O
0.801 0.442 0.192 O
0.957 0.250 0.618 O
```

Peak list (10 most intense, 10° ≤ 2θ ≤ 90°, low angle first)
2theta  d_spacing  I_rel
22.74  3.911  28
23.03  3.862  19
25.53  3.489  26
31.31  2.857  17
32.58  2.748  100
33.42  2.681  41
46.43  1.956  16
47.99  1.896  16
52.33  1.748  22
59.18  1.561  21


(6)
SbP3CN3Cl15: computed powder XRD pattern (Cu Kα (λ = 1.5418 Å)), based on a PBE-relaxed structure.

Structural model:
```
SbP3CN3Cl15
1.0
9.816 0.000 0.000
3.572 11.557 0.000
0.506 1.290 13.792
Sb P C N Cl
2 6 2 6 30
direct
0.226 0.255 0.212 Sb
0.774 0.745 0.788 Sb
0.092 0.221 0.710 P
0.279 0.712 0.486 P
0.370 0.696 0.166 P
0.630 0.304 0.834 P
0.721 0.288 0.514 P
0.908 0.779 0.290 P
0.188 0.734 0.310 C
0.812 0.266 0.690 C
0.053 0.763 0.343 N
0.213 0.728 0.212 N
0.297 0.711 0.371 N
0.703 0.289 0.629 N
0.787 0.272 0.788 N
0.947 0.237 0.657 N
0.097 0.339 0.800 Cl
0.132 0.646 0.818 Cl
0.143 0.809 0.794 Cl
0.147 0.967 0.088 Cl
0.170 0.862 0.533 Cl
0.174 0.068 0.787 Cl
0.184 0.117 0.036 Cl
0.189 0.594 0.550 Cl
0.204 0.395 0.333 Cl
0.204 0.407 0.058 Cl
0.214 0.081 0.335 Cl
0.236 0.225 0.607 Cl
0.335 0.691 0.025 Cl
0.471 0.671 0.543 Cl
0.483 0.188 0.200 Cl
0.517 0.812 0.800 Cl
0.529 0.329 0.457 Cl
0.665 0.309 0.975 Cl
0.764 0.775 0.393 Cl
0.786 0.919 0.665 Cl
0.796 0.593 0.942 Cl
0.796 0.605 0.667 Cl
0.811 0.406 0.450 Cl
0.816 0.883 0.964 Cl
0.826 0.932 0.213 Cl
0.830 0.138 0.467 Cl
0.853 0.033 0.912 Cl
0.857 0.191 0.206 Cl
0.868 0.354 0.182 Cl
0.903 0.661 0.200 Cl
```

Peak list (10 most intense, 10° ≤ 2θ ≤ 90°, low angle first)
2theta  d_spacing  I_rel
10.46  8.457  37
11.42  7.745  58
15.40  5.753  100
15.87  5.584  52
17.08  5.192  53
18.93  4.689  74
19.19  4.626  28
23.63  3.765  26
28.56  3.125  46
34.87  2.573  29


(7)
Mg6Si5: computed powder XRD pattern (Cu Kα (λ = 1.5418 Å)), based on a PBE-relaxed structure.

Structural model:
```
Mg6Si5
1.0
6.770 0.000 0.000
0.000 4.026 0.000
-0.783 0.000 15.425
Mg Si
12 10
direct
0.000 0.000 0.000 Mg
0.018 0.000 0.230 Mg
0.036 0.500 0.421 Mg
0.170 0.500 0.860 Mg
0.207 0.500 0.651 Mg
0.249 0.500 0.100 Mg
0.474 0.000 0.976 Mg
0.517 0.000 0.190 Mg
0.546 0.500 0.494 Mg
0.716 0.500 0.712 Mg
0.760 0.500 0.101 Mg
0.870 0.000 0.564 Mg
0.019 0.000 0.737 Si
0.242 0.000 0.518 Si
0.325 0.500 0.282 Si
0.361 0.000 0.375 Si
0.396 0.000 0.777 Si
0.503 0.000 0.627 Si
0.724 0.500 0.283 Si
0.734 0.000 0.383 Si
0.754 0.500 0.924 Si
0.765 0.000 0.837 Si
```

Peak list (10 most intense, 10° ≤ 2θ ≤ 90°, low angle first)
2theta  d_spacing  I_rel
34.65  2.589  55
34.92  2.570  59
35.31  2.542  74
36.19  2.482  57
36.70  2.449  100
37.05  2.426  31
38.50  2.339  32
38.60  2.333  41
39.59  2.276  26
45.03  2.013  76


(8)
Ho6ReO12: computed powder XRD pattern (Cu Kα (λ = 1.5418 Å)), based on a PBE-relaxed structure.

Structural model:
```
Ho6ReO12
1.0
4.903 2.831 3.115
-4.903 2.831 3.115
0.000 -5.661 3.115
Ho Re O
6 1 12
direct
0.111 0.644 0.815 Ho
0.185 0.889 0.356 Ho
0.356 0.185 0.889 Ho
0.644 0.815 0.111 Ho
0.815 0.111 0.644 Ho
0.889 0.356 0.185 Ho
0.500 0.500 0.500 Re
0.067 0.323 0.909 O
0.091 0.933 0.677 O
0.203 0.534 0.427 O
0.323 0.909 0.067 O
0.427 0.203 0.534 O
0.466 0.573 0.797 O
0.534 0.427 0.203 O
0.573 0.797 0.466 O
0.677 0.091 0.933 O
0.797 0.466 0.573 O
0.909 0.067 0.323 O
0.933 0.677 0.091 O
```

Peak list (10 most intense, 10° ≤ 2θ ≤ 90°, low angle first)
2theta  d_spacing  I_rel
28.65  3.115  31
29.42  3.036  100
33.88  2.646  46
48.17  1.889  26
49.17  1.853  27
57.02  1.615  11
57.90  1.593  23
58.34  1.582  13
61.05  1.518  10
79.71  1.203  9


(9)
Na4AlZnP3O12: computed powder XRD pattern (Cu Kα (λ = 1.5418 Å)), based on a PBE-relaxed structure.

Structural model:
```
Na4AlZnP3O12
1.0
4.444 2.566 7.176
-4.444 2.566 7.176
0.000 -5.132 7.176
Na Al Zn P O
8 2 2 6 24
direct
0.000 0.000 0.000 Na
0.121 0.390 0.743 Na
0.243 0.890 0.621 Na
0.390 0.743 0.121 Na
0.500 0.500 0.500 Na
0.621 0.243 0.890 Na
0.743 0.121 0.390 Na
0.890 0.621 0.243 Na
0.152 0.152 0.152 Al
0.652 0.652 0.652 Al
0.350 0.350 0.350 Zn
0.850 0.850 0.850 Zn
0.044 0.760 0.456 P
0.260 0.544 0.956 P
0.456 0.044 0.760 P
0.544 0.956 0.260 P
0.760 0.456 0.044 P
0.956 0.260 0.544 P
0.029 0.785 0.623 O
0.061 0.935 0.278 O
0.095 0.723 0.924 O
0.123 0.285 0.529 O
0.223 0.595 0.424 O
0.231 0.366 0.991 O
0.278 0.061 0.935 O
0.285 0.529 0.123 O
0.366 0.991 0.231 O
0.424 0.223 0.595 O
0.435 0.561 0.778 O
0.491 0.866 0.731 O
0.529 0.123 0.285 O
0.561 0.778 0.435 O
0.595 0.424 0.223 O
0.623 0.029 0.785 O
0.723 0.924 0.095 O
0.731 0.491 0.866 O
0.778 0.435 0.561 O
0.785 0.623 0.029 O
0.866 0.731 0.491 O
0.924 0.095 0.723 O
0.935 0.278 0.061 O
0.991 0.231 0.366 O
```

Peak list (10 most intense, 10° ≤ 2θ ≤ 90°, low angle first)
2theta  d_spacing  I_rel
14.14  6.261  25
20.13  4.411  33
23.55  3.778  37
28.51  3.131  17
31.02  2.883  26
32.06  2.792  100
34.98  2.565  56
42.58  2.123  17
48.17  1.889  37
60.89  1.521  22